Starting from a cell relaxed with PBE, the XRD peak list of TbCeCu2Ge2 was computed for Cu Kα.
No peak broadening, texture or thermal motion is included.

Atomic structure:
Unit cell a=4.2524 b=4.2524 c=7.6709 alpha=90.00 beta=90.00 gamma=120.00
Element x y z (fractional)
Tb (0.0000, 0.0000, 0.0000)
Ce (0.0000, 0.0000, 0.5000)
Cu (0.3333, 0.6667, 0.7604)
Cu (0.6667, 0.3333, 0.2396)
Ge (0.3333, 0.6667, 0.2475)
Ge (0.6667, 0.3333, 0.7525)

Top 10 peaks for 2θ = 10–90°, in order of rising 2θ:
24.2 deg, intensity 14, hkl 1 0 0; 33.7 deg, intensity 100, hkl 1 0 2; 42.5 deg, intensity 46, hkl 1 1 0; 47.4 deg, intensity 11, hkl 0 0 4; 53.9 deg, intensity 3, hkl 0 1 4; 55.3 deg, intensity 24, hkl 0 2 2; 65.6 deg, intensity 24, hkl 1 1 4; 72.2 deg, intensity 21, hkl 2 1 2; 77.8 deg, intensity 8, hkl 3 0 0; 79.3 deg, intensity 8, hkl 1 0 6